Entry 1:
For Pa2Si2Mo2C, a crystal structure in Alexandria, relaxed with GGA-PBE gives the theoretical PXRD pattern in this record (copper Kα).
Kinematic intensities with the Lorentz-polarization factor, no thermal factor.

Principal peaks in the range 2θ from 10° to 80°, in order of rising 2θ:
2θ = 24.75°, rel. 50, (1 1 0); 2θ = 25.71°, rel. 29, (2 0 -2); 2θ = 31.61°, rel. 46, (2 0 1); 2θ = 32.35°, rel. 21, (1 1 1); 2θ = 33.30°, rel. 33, (4 0 -1); 2θ = 33.46°, rel. 88, (3 1 -1); 2θ = 35.47°, rel. 100, (1 1 -2); 2θ = 40.99°, rel. 26, (4 0 -3); 2θ = 46.28°, rel. 27, (0 2 0); 2θ = 47.57°, rel. 22, (3 1 1); 2θ = 51.26°, rel. 17, (5 1 -3); 2θ = 57.13°, rel. 18, (2 2 1)

Unit cell a=11.013 b=3.923 c=6.947 alpha=90.00 beta=125.03 gamma=90.00
Sites, in units of the cell vectors:
Pa: 0.074 0.000 0.297
Pa: 0.426 0.500 0.703
Pa: 0.574 0.500 0.297
Pa: 0.926 0.000 0.703
Si: 0.132 0.500 0.658
Si: 0.368 0.000 0.342
Si: 0.632 0.000 0.658
Si: 0.868 0.500 0.342
Mo: 0.211 0.500 0.092
Mo: 0.289 0.000 0.908
Mo: 0.711 0.000 0.092
Mo: 0.789 0.500 0.908
C: 0.000 0.500 0.000
C: 0.500 0.000 0.000



Entry 2:
For ScCu2C2, a crystal structure in Alexandria, relaxed with GGA-PBE gives the theoretical PXRD pattern in this record (copper Kα).
Kinematic intensities with the Lorentz-polarization factor, no thermal factor.

Principal peaks in the range 2θ from 10° to 80°, in order of rising 2θ:
2θ = 20.66°, rel. 30, (0 0 2); 2θ = 28.05°, rel. 6, (1 0 1); 2θ = 37.13°, rel. 11, (1 1 0); 2θ = 41.07°, rel. 6, (1 0 3); 2θ = 42.04°, rel. 21, (0 0 4); 2θ = 42.87°, rel. 100, (1 1 2); 2θ = 53.53°, rel. 27, (2 0 0); 2θ = 57.32°, rel. 12, (1 1 4); 2θ = 57.98°, rel. 8, (2 0 2); 2θ = 70.29°, rel. 17, (2 0 4); 2θ = 77.39°, rel. 11, (1 1 6); 2θ = 79.11°, rel. 8, (2 2 0)

Unit cell a=3.424 b=3.424 c=8.598 alpha=90.00 beta=90.00 gamma=90.00
Sites, in units of the cell vectors:
Sc: 0.000 0.000 0.000
Sc: 0.500 0.500 0.500
Cu: 0.000 0.500 0.250
Cu: 0.000 0.500 0.750
Cu: 0.500 0.000 0.250
Cu: 0.500 0.000 0.750
C: 0.000 0.000 0.414
C: 0.000 0.000 0.586
C: 0.500 0.500 0.086
C: 0.500 0.500 0.914



> Which formula does entry 2 have?

ScCu2C2